(1)
For NiGe2O6, a GGA+U-relaxed structure gives the theoretical XRD peak list in this record (Cu Kα (λ = 1.5418 Å)).

Main lines, in order of rising 2θ (2θ = 5–70°):
19.06°, 4.657 Å, intensity 411
20.15°, 4.408 Å, intensity 484
28.50°, 3.132 Å, intensity 1000
29.70°, 3.008 Å, intensity 571
34.85°, 2.574 Å, intensity 378
36.30°, 2.475 Å, intensity 269
45.94°, 1.975 Å, intensity 302
54.11°, 1.695 Å, intensity 246

Structural model:
```
NiGe2O6
1.0
5.1867 -4.4078 0.0000
5.1867 4.4078 0.0000
-2.1095 0.0000 5.1483
Ni Ge O
2 4 12
Direct
0.0883 0.9117 0.7500
0.9117 0.0883 0.2500
0.2053 0.3746 0.7318
0.3746 0.2053 0.2318
0.6254 0.7947 0.7682
0.7947 0.6254 0.2682
0.0319 0.1779 0.6233
0.0614 0.6180 0.7320
0.1779 0.0319 0.1233
0.3316 0.3966 0.0615
0.3820 0.9386 0.7680
0.3966 0.3316 0.5615
0.6034 0.6684 0.4385
0.6180 0.0614 0.2320
0.6684 0.6034 0.9385
0.8221 0.9681 0.8767
0.9386 0.3820 0.2680
0.9681 0.8221 0.3767
```

(2)
For NiGeTeO6, a GGA+U-relaxed structure gives the theoretical XRD peak list in this record (Cu Kα (λ = 1.5418 Å)).

Main lines, in order of rising 2θ (2θ = 5–70°):
19.61°, 4.527 Å, intensity 318
28.43°, 3.139 Å, intensity 1000
35.69°, 2.516 Å, intensity 459
41.05°, 2.199 Å, intensity 309
46.25°, 1.963 Å, intensity 249
54.54°, 1.683 Å, intensity 529
59.75°, 1.548 Å, intensity 231
64.12°, 1.452 Å, intensity 196

Structural model:
```
NiGeTeO6
1.0
5.0312 0.0000 0.0000
-2.5156 4.3571 0.0000
0.0000 0.0000 9.0543
Ni Ge Te O
2 2 2 12
Direct
0.0000 0.0000 0.0000
0.0000 0.0000 0.5000
0.3333 0.6667 0.2500
0.6667 0.3333 0.7500
0.3333 0.6667 0.7500
0.6667 0.3333 0.2500
0.0048 0.3579 0.1334
0.0048 0.6469 0.3666
0.3531 0.3579 0.3666
0.3531 0.9952 0.1334
0.3579 0.0048 0.6334
0.3579 0.3531 0.8666
0.6421 0.6469 0.1334
0.6421 0.9952 0.3666
0.6469 0.0048 0.8666
0.6469 0.6421 0.6334
0.9952 0.3531 0.6334
0.9952 0.6421 0.8666
```

(3)
For TiNi4GeO8, a GGA+U-relaxed structure gives the theoretical XRD peak list in this record (Cu Kα (λ = 1.5418 Å)).

Main lines, in order of rising 2θ (2θ = 5–70°):
18.37°, 4.829 Å, intensity 86
30.22°, 2.957 Å, intensity 249
35.60°, 2.522 Å, intensity 1000
37.24°, 2.414 Å, intensity 110
43.27°, 2.091 Å, intensity 208
53.69°, 1.707 Å, intensity 92
57.23°, 1.610 Å, intensity 319
62.86°, 1.478 Å, intensity 441

Structural model:
```
TiNi4GeO8
1.0
0.0000 4.1818 4.1818
4.1818 0.0000 4.1818
4.1818 4.1818 0.0000
Ti Ni Ge O
1 4 1 8
Direct
0.0000 0.0000 0.0000
0.1231 0.6256 0.6256
0.6256 0.1231 0.6256
0.6256 0.6256 0.1231
0.6256 0.6256 0.6256
0.2500 0.2500 0.2500
0.3748 0.3748 0.3748
0.3748 0.3748 0.8755
0.3748 0.8755 0.3748
0.3820 0.8727 0.8727
0.8727 0.3820 0.8727
0.8727 0.8727 0.3820
0.8727 0.8727 0.8727
0.8755 0.3748 0.3748
```

(4)
For TmNi2GeO6, a GGA+U-relaxed structure gives the theoretical XRD peak list in this record (Cu Kα (λ = 1.5418 Å)).

Main lines, in order of rising 2θ (2θ = 5–70°):
23.15°, 3.842 Å, intensity 527
23.83°, 3.734 Å, intensity 550
31.87°, 2.808 Å, intensity 1000
32.55°, 2.751 Å, intensity 901
32.69°, 2.740 Å, intensity 927
34.38°, 2.608 Å, intensity 919
35.00°, 2.564 Å, intensity 847
35.46°, 2.532 Å, intensity 827

Structural model:
```
TmNi2GeO6
1.0
5.0655 0.0000 0.0000
2.4422 4.5124 0.0000
2.4017 1.6114 4.7092
Tm Ni Ge O
1 2 1 6
Direct
0.0000 0.0000 0.0000
0.2081 0.1991 0.3864
0.7158 0.7115 0.8507
0.5165 0.5168 0.4554
0.1368 0.7948 0.6399
0.3316 0.5606 0.1868
0.4215 0.1345 0.6446
0.5756 0.8998 0.1750
0.7799 0.4220 0.6594
0.9102 0.3307 0.1869
```